Record 1
Diffraction record for Fe7O7F. The X-ray diffraction stick pattern is simulated, not measured: it uses DFT lattice parameters and positions (PBE+U) and Cu Ka.
Kinematic intensities with the Lorentz-polarization factor, no thermal factor.

Crystal structure
```
15
Lattice="17.634 0.000 0.000 0.000 1.778 3.059 0.000 -1.778 3.059" Properties=species:S:1:pos:R:3 pbc="T T T"
Fe 0.000 0.000 0.000
Fe 2.261 0.000 2.016
Fe 4.496 0.000 6.116
Fe 6.839 0.000 2.017
Fe 10.795 0.000 2.017
Fe 13.139 0.000 6.116
Fe 15.373 0.000 2.016
O 0.000 0.000 1.978
O 2.250 0.000 5.998
O 4.547 0.000 1.986
O 6.645 0.000 6.092
O 10.989 0.000 6.092
O 13.087 0.000 1.986
O 15.384 0.000 5.998
F 8.817 0.000 2.004
```

The 10 most intense peaks (10° ≤ 2θ ≤ 80°), low angle first:
| 2θ (°) | I_rel |
| --- | --- |
| 29.04 | 100 |
| 29.19 | 47 |
| 35.60 | 86 |
| 35.72 | 42 |
| 40.94 | 62 |
| 51.01 | 46 |
| 51.39 | 33 |
| 51.67 | 64 |
| 67.70 | 22 |
| 67.94 | 44 |


Record 2
Diffraction record for Fe4O7F. The X-ray diffraction stick pattern is simulated, not measured: it uses DFT lattice parameters and positions (PBE+U) and Cu Ka.
Kinematic intensities with the Lorentz-polarization factor, no thermal factor.

Crystal structure
```
24
Lattice="5.513 0.000 0.000 0.000 4.623 0.000 -0.993 0.000 10.044" Properties=species:S:1:pos:R:3 pbc="T T T"
Fe 0.000 1.067 0.000
Fe -0.496 3.556 5.022
Fe 0.577 1.191 7.516
Fe 1.074 3.432 2.494
Fe 2.150 1.143 4.998
Fe 1.654 3.481 10.020
Fe 3.815 1.089 2.403
Fe 3.319 3.534 7.424
O -0.158 2.021 1.693
O -0.655 2.602 6.715
O 0.621 0.305 5.830
O 1.118 4.318 0.808
O 0.514 2.037 9.235
O 1.011 2.586 4.213
O 2.283 0.277 3.255
O 1.786 4.347 8.277
O 2.129 2.065 6.752
O 2.625 2.558 1.730
O 3.893 0.232 0.672
O 3.396 4.391 5.694
O 4.548 0.272 8.267
O 5.044 4.352 3.245
F 3.791 2.074 4.210
F 3.295 2.550 9.232
```

The 10 most intense peaks (10° ≤ 2θ ≤ 80°), low angle first:
| 2θ (°) | I_rel |
| --- | --- |
| 27.27 | 100 |
| 35.74 | 52 |
| 38.94 | 11 |
| 40.88 | 13 |
| 53.89 | 59 |
| 56.25 | 16 |
| 62.04 | 8 |
| 63.62 | 9 |
| 68.46 | 20 |
| 69.04 | 11 |


Record 3
Diffraction record for Fe10O11F9. The X-ray diffraction stick pattern is simulated, not measured: it uses DFT lattice parameters and positions (PBE+U) and Cu Ka.
Kinematic intensities with the Lorentz-polarization factor, no thermal factor.

Crystal structure
```
30
Lattice="4.761 0.000 0.000 0.323 4.755 0.000 0.020 0.029 15.336" Properties=species:S:1:pos:R:3 pbc="T T T"
Fe 0.000 0.000 0.000
Fe 0.019 0.027 12.159
Fe 0.478 4.615 2.971
Fe 0.516 4.681 9.184
Fe 2.329 2.221 1.400
Fe 2.348 2.260 7.583
Fe 2.357 2.259 10.768
Fe 2.528 2.412 4.649
Fe 2.566 2.377 13.754
Fe 4.765 0.049 6.223
O 0.933 0.815 1.480
O 0.962 0.847 10.737
O 0.961 0.858 7.667
O 1.590 3.295 6.075
O 1.656 3.281 15.201
O 1.661 3.288 12.327
O 1.720 3.188 9.201
O 1.713 3.166 3.021
O 3.375 1.407 6.079
O 3.387 1.433 15.222
O 3.391 1.437 12.301
F 0.966 0.899 13.756
F 0.969 0.864 4.532
F 3.418 1.339 9.205
F 3.425 1.306 3.028
F 4.083 3.774 7.691
F 4.080 3.746 1.500
F 4.102 3.769 10.708
F 4.103 3.806 4.508
F 4.120 3.854 13.758
```

The 10 most intense peaks (10° ≤ 2θ ≤ 80°), low angle first:
| 2θ (°) | I_rel |
| --- | --- |
| 25.59 | 100 |
| 27.42 | 90 |
| 34.81 | 95 |
| 39.14 | 17 |
| 51.28 | 30 |
| 51.39 | 31 |
| 53.40 | 49 |
| 60.34 | 23 |
| 66.37 | 19 |
| 66.47 | 20 |


Record 4
Diffraction record for Fe4O7F. The X-ray diffraction stick pattern is simulated, not measured: it uses DFT lattice parameters and positions (PBE+U) and Cu Ka.
Kinematic intensities with the Lorentz-polarization factor, no thermal factor.

Crystal structure
```
24
Lattice="4.643 0.000 0.000 0.000 5.997 0.000 -0.302 0.000 9.262" Properties=species:S:1:pos:R:3 pbc="T T T"
Fe -0.141 1.499 4.625
Fe -0.163 1.499 9.125
Fe 2.160 3.028 2.384
Fe 2.160 5.967 2.384
Fe 2.181 0.029 6.878
Fe 2.181 2.969 6.878
Fe 4.503 4.498 0.137
Fe 4.481 4.498 4.637
O 0.834 0.009 0.897
O 0.834 2.989 0.897
O 0.725 3.007 5.515
O 0.725 5.988 5.515
O 1.235 4.498 3.281
O 1.313 1.499 3.215
O 1.266 1.499 7.761
O 3.074 4.498 1.501
O 3.028 4.498 6.047
O 3.106 1.499 5.981
O 3.616 0.009 3.747
O 3.616 2.990 3.747
O 3.507 3.008 8.365
O 3.507 5.987 8.365
F 1.189 4.498 7.855
F 3.151 1.499 1.407
```

The 10 most intense peaks (10° ≤ 2θ ≤ 80°), low angle first:
| 2θ (°) | I_rel |
| --- | --- |
| 26.75 | 95 |
| 27.65 | 96 |
| 35.66 | 100 |
| 38.85 | 19 |
| 53.24 | 54 |
| 54.27 | 55 |
| 57.11 | 15 |
| 61.89 | 16 |
| 68.22 | 19 |
| 68.35 | 19 |


Record 5
Diffraction record for Fe10O11F9. The X-ray diffraction stick pattern is simulated, not measured: it uses DFT lattice parameters and positions (PBE+U) and Cu Ka.
Kinematic intensities with the Lorentz-polarization factor, no thermal factor.

Crystal structure
```
30
Lattice="4.736 0.000 0.000 0.000 15.374 0.000 -0.195 0.000 4.747" Properties=species:S:1:pos:R:3 pbc="T T T"
Fe 0.000 0.000 0.000
Fe -0.185 3.084 4.704
Fe -0.185 12.290 4.704
Fe 0.206 6.104 0.019
Fe 0.206 9.270 0.019
Fe 2.472 7.687 2.367
Fe 2.652 4.747 2.268
Fe 2.652 10.628 2.268
Fe 2.663 1.582 2.334
Fe 2.663 13.793 2.334
O 1.618 6.252 1.432
O 1.618 9.122 1.432
O 3.349 3.158 3.195
O 3.349 12.216 3.195
O 3.352 0.000 3.217
O 3.385 6.274 3.283
O 3.385 9.100 3.283
O 3.957 1.559 0.856
O 3.957 13.815 0.856
O 4.012 4.659 0.848
O 4.012 10.715 0.848
F 0.956 7.687 3.842
F 0.967 1.573 3.752
F 0.967 13.801 3.752
F 0.995 4.633 3.764
F 0.995 10.741 3.764
F 1.566 0.000 1.365
F 1.575 3.127 1.347
F 1.575 12.247 1.347
F 4.026 7.687 0.903
```

The 10 most intense peaks (10° ≤ 2θ ≤ 80°), low angle first:
| 2θ (°) | I_rel |
| --- | --- |
| 26.04 | 98 |
| 27.15 | 93 |
| 34.78 | 100 |
| 39.40 | 19 |
| 51.80 | 58 |
| 53.06 | 52 |
| 53.56 | 16 |
| 60.19 | 16 |
| 66.46 | 21 |
| 66.66 | 27 |


Record 6
Diffraction record for Fe4O7F. The X-ray diffraction stick pattern is simulated, not measured: it uses DFT lattice parameters and positions (PBE+U) and Cu Ka.
Kinematic intensities with the Lorentz-polarization factor, no thermal factor.

Crystal structure
```
12
Lattice="4.608 -3.027 0.000 4.608 3.027 0.000 -0.157 0.000 4.613" Properties=species:S:1:pos:R:3 pbc="T T T"
Fe 0.000 0.000 0.000
Fe 6.800 1.474 2.341
Fe 4.523 0.000 4.549
Fe 6.800 -1.474 2.341
O 3.600 1.503 3.712
O 1.352 0.000 3.158
O 5.479 1.515 0.887
O 5.894 0.000 3.214
O 3.600 -1.503 3.712
O 7.719 0.000 1.451
O 5.479 -1.515 0.887
F 3.198 0.000 1.363
```

The 10 most intense peaks (10° ≤ 2θ ≤ 80°), low angle first:
| 2θ (°) | I_rel |
| --- | --- |
| 26.89 | 94 |
| 27.83 | 90 |
| 35.48 | 100 |
| 39.08 | 19 |
| 53.26 | 57 |
| 54.34 | 53 |
| 55.41 | 16 |
| 57.50 | 15 |
| 61.24 | 15 |
| 68.48 | 38 |